Tb3IrO7: computed PXRD pattern (a wavelength of 1.5418 Å), based on the PBE geometry in Alexandria.
Lines closer than 0.1° are merged.

Structure:
Lattice parameters (Å, degrees): 6.497 6.497 7.432 90.00 90.00 108.88
Fractional coordinates of all 22 atoms:
Tb (0.027, 0.027, 0.000)
Tb (0.034, 0.500, 0.255)
Tb (0.500, 0.034, 0.745)
Tb (0.500, 0.966, 0.245)
Tb (0.966, 0.500, 0.755)
Tb (0.973, 0.973, 0.500)
Ir (0.499, 0.499, 0.000)
Ir (0.501, 0.501, 0.500)
O (0.131, 0.869, 0.750)
O (0.137, 0.863, 0.250)
O (0.175, 0.420, 0.975)
O (0.187, 0.440, 0.533)
O (0.420, 0.175, 0.025)
O (0.428, 0.572, 0.250)
O (0.440, 0.187, 0.467)
O (0.560, 0.813, 0.967)
O (0.572, 0.428, 0.750)
O (0.580, 0.825, 0.525)
O (0.813, 0.560, 0.033)
O (0.825, 0.580, 0.475)
O (0.863, 0.137, 0.750)
O (0.869, 0.131, 0.250)

Principal peaks in the range 2θ from 10° to 90°, sorted by position:
- 29.0°, I = 100
- 29.4°, I = 98
- 33.9°, I = 71
- 48.2°, I = 13
- 48.7°, I = 56
- 49.0°, I = 16
- 57.4°, I = 25
- 57.7°, I = 12
- 58.0°, I = 41
- 60.2°, I = 9
- 61.0°, I = 10
- 79.1°, I = 10